Record 1
The following is a simulated powder XRD pattern of SrDyMg. It was derived from a structure optimized by DFT (PBE), using Cu Ka.

Main lines, by angle (2θ = 5–70°):
- d 14.684, 2θ 6.0, I = 100
- d 3.810, 2θ 23.3, I = 26
- d 3.671, 2θ 24.2, I = 9
- d 3.215, 2θ 27.7, I = 16
- d 2.834, 2θ 31.6, I = 87
- d 2.717, 2θ 33.0, I = 39
- d 1.921, 2θ 47.3, I = 14
- d 1.660, 2θ 55.3, I = 17
- d 1.590, 2θ 58.0, I = 30
- d 1.417, 2θ 65.9, I = 10

Structural model:
abc: 3.8421 3.8421 29.3688
angles: 90.00 90.00 90.00
Space group I4/mmm (No. 139)
Unique sites:
Sr (0.0000, 0.0000, 0.0690) x4
Dy (0.0000, 0.0000, 0.2124) x4
Mg (0.0000, 0.0000, 0.3513) x4

Record 2
The following is a simulated powder XRD pattern of PuInSi4. It was derived from a structure optimized by DFT (PBE), using Cu Ka.

Main lines, by angle (2θ = 5–70°):
- d 4.320, 2θ 20.6, I = 74
- d 3.741, 2θ 23.8, I = 13
- d 2.645, 2θ 33.9, I = 97
- d 2.256, 2θ 40.0, I = 100
- d 2.160, 2θ 41.8, I = 8
- d 1.871, 2θ 48.7, I = 8
- d 1.717, 2θ 53.4, I = 20
- d 1.673, 2θ 54.9, I = 6
- d 1.527, 2θ 60.6, I = 37
- d 1.440, 2θ 64.7, I = 33

Structural model:
abc: 7.4823 7.4823 7.4823
angles: 90.00 90.00 90.00
Space group F-43m (No. 216)
Unique sites:
Pu (0.0000, 0.0000, 0.0000) x4
In (0.2500, 0.2500, 0.7500) x4
Si (0.1242, 0.1242, 0.3758) x16

Record 3
The following is a simulated powder XRD pattern of Ce4Os2Pt. It was derived from a structure optimized by DFT (PBE), using Cu Ka.

Main lines, by angle (2θ = 5–70°):
- d 3.565, 2θ 25.0, I = 12
- d 2.768, 2θ 32.3, I = 100
- d 2.715, 2θ 33.0, I = 45
- d 2.339, 2θ 38.5, I = 27
- d 2.327, 2θ 38.7, I = 28
- d 2.308, 2θ 39.0, I = 19
- d 1.851, 2θ 49.2, I = 14
- d 1.718, 2θ 53.3, I = 16
- d 1.695, 2θ 54.1, I = 14
- d 1.421, 2θ 65.7, I = 11

Structural model:
abc: 12.2481 8.7655 8.5649
angles: 90.00 134.30 90.00
Space group C2 (No. 5)
Unique sites:
Ce (0.0637, 0.0000, 0.3664) x4
Ce (0.0646, 0.6218, 0.2618) x4
Ce (0.1892, 0.2467, 0.1367) x4
Ce (0.1890, 0.3750, 0.7420) x4
Os (0.0000, 0.6972, 0.5000) x2
Os (0.0000, 0.9244, 0.0000) x2
Os (0.1136, 0.3108, 0.3638) x4
Pt (0.2494, 0.5610, 0.1244) x4

Record 4
The following is a simulated powder XRD pattern of K3NdNp2Se6. It was derived from a structure optimized by DFT (PBE), using Cu Ka.

Main lines, by angle (2θ = 5–70°):
- d 7.685, 2θ 11.5, I = 69
- d 3.674, 2θ 24.2, I = 20
- d 3.127, 2θ 28.5, I = 100
- d 2.467, 2θ 36.4, I = 22
- d 2.279, 2θ 39.5, I = 36
- d 2.149, 2θ 42.1, I = 37
- d 2.069, 2θ 43.7, I = 17
- d 1.771, 2θ 51.6, I = 19
- d 1.432, 2θ 65.1, I = 13
- d 1.367, 2θ 68.7, I = 16

Structural model:
abc: 7.4431 12.8920 8.0762
angles: 90.00 107.90 90.00
Space group C2/m (No. 12)
Unique sites:
K (0.0000, 0.0000, 0.0000) x2
K (0.0000, 0.3347, 0.0000) x4
Nd (0.0000, 0.5000, 0.5000) x2
Np (0.0000, 0.1668, 0.5000) x4
Se (0.2297, 0.0000, 0.7078) x4
Se (0.2391, 0.3303, 0.7080) x8

Record 5
The following is a simulated powder XRD pattern of Pr6Ga3Pd. It was derived from a structure optimized by DFT (PBE), using Cu Ka.

Main lines, by angle (2θ = 5–70°):
- d 3.619, 2θ 24.6, I = 12
- d 3.001, 2θ 29.8, I = 100
- d 2.623, 2θ 34.2, I = 83
- d 2.614, 2θ 34.3, I = 41
- d 2.503, 2θ 35.9, I = 46
- d 1.976, 2θ 45.9, I = 15
- d 1.972, 2θ 46.0, I = 21
- d 1.590, 2θ 58.0, I = 23
- d 1.578, 2θ 58.5, I = 19
- d 1.511, 2θ 61.4, I = 15

Structural model:
abc: 9.0960 11.9997 5.2281
angles: 90.00 90.00 90.00
Space group Pnnm (No. 58)
Unique sites:
Pr (0.0001, 0.2487, 0.0000) x4
Pr (0.1684, 0.0856, 0.5000) x4
Pr (0.1682, 0.4193, 0.5000) x4
Ga (0.0000, 0.5000, 0.0000) x2
Ga (0.1668, 0.7302, 0.5000) x4
Pd (0.0000, 0.0000, 0.0000) x2

Record 6
The following is a simulated powder XRD pattern of Pm5Dy5Ho. It was derived from a structure optimized by DFT (PBE), using Cu Ka.

Main lines, by angle (2θ = 5–70°):
- d 3.136, 2θ 28.5, I = 100
- d 3.055, 2θ 29.2, I = 87
- d 2.956, 2θ 30.2, I = 34
- d 2.581, 2θ 34.8, I = 33
- d 2.556, 2θ 35.1, I = 33
- d 2.410, 2θ 37.3, I = 28
- d 2.404, 2θ 37.4, I = 25
- d 1.961, 2θ 46.3, I = 26
- d 1.779, 2θ 51.4, I = 39
- d 1.528, 2θ 60.6, I = 29

Structural model:
abc: 6.1109 6.1109 11.6789
angles: 90.00 90.00 120.00
Space group P-6m2 (No. 187)
Unique sites:
Pm (0.0000, 0.0000, 0.0000) x1
Pm (0.3333, 0.6667, 0.3162) x2
Pm (0.6667, 0.3333, 0.1543) x2
Dy (0.0000, 0.0000, 0.2652) x2
Dy (0.3345, 0.1673, 0.5000) x3
Ho (0.3333, 0.6667, 0.0000) x1